[1]
Structure and theoretical powder diffractogram of LaLu2Ti (the GGA-PBE geometry in Alexandria; Cu Kα X-rays).

Crystal structure
```
LaLu2Ti
1.0
3.354 0.000 0.000
0.000 3.354 0.000
0.000 0.000 9.875
La Lu Ti
1 2 1
direct
0.000 0.000 0.000
0.500 0.500 0.294
0.500 0.500 0.706
0.000 0.000 0.500
```

Most intense lines, 10 to 90 degrees two-theta, low angle first:
2theta  I_rel
27.09  20
28.10  21
32.26  100
37.94  40
53.87  19
64.98  26

=====

[2]
Structure and theoretical powder diffractogram of Mg2BeTeO6 (the GGA-PBE geometry in Alexandria; Cu Kα X-rays).

Crystal structure
```
Mg2BeTeO6
1.0
5.000 0.000 0.000
0.000 5.000 0.000
0.000 0.000 4.707
Mg Be Te O
2 1 1 6
direct
0.000 0.500 0.000
0.500 0.000 0.000
0.000 0.000 0.579
0.500 0.500 0.620
0.000 0.000 0.255
0.246 0.246 0.754
0.246 0.754 0.754
0.500 0.500 0.225
0.754 0.246 0.754
0.754 0.754 0.754
```

Most intense lines, 10 to 90 degrees two-theta, low angle first:
2theta  I_rel
17.74  100
18.85  58
25.19  43
26.00  79
31.65  88
44.88  38

=====

[3]
Structure and theoretical powder diffractogram of Ce2Ga4FeGe2 (the GGA-PBE geometry in Alexandria; Cu Kα X-rays).

Crystal structure
```
Ce2Ga4FeGe2
1.0
-3.095 3.095 4.395
3.095 -3.095 4.395
3.095 3.095 -4.395
Ce Ga Fe Ge
2 4 1 2
direct
0.250 0.750 0.500
0.750 0.250 0.500
0.221 0.221 0.442
0.221 0.779 0.000
0.779 0.221 0.000
0.779 0.779 0.558
0.500 0.500 0.000
0.225 0.225 0.000
0.775 0.775 0.000
```

Most intense lines, 10 to 90 degrees two-theta, low angle first:
2theta  I_rel
28.81  28
35.48  100
41.07  23
41.25  45
59.62  27
71.46  20